1.
Zn2P2H10O11: simulated X-ray diffraction stick pattern (Cu Kα), based on a GGA-PBE-relaxed structure.
Neutral-atom scattering factors, no anomalous dispersion.

Crystal structure
a = 7.1116 Å, b = 7.1663 Å, c = 9.2346 Å
α = 89.49°, β = 89.96°, γ = 85.26°
Element x y z (fractional)
Zn (0.0000, 0.0000, 0.0000)
Zn (0.0043, 0.4686, 0.7591)
Zn (0.5000, 0.5000, 0.5000)
Zn (0.9957, 0.5314, 0.2409)
P (0.1453, 0.2643, 0.5076)
P (0.2446, 0.6034, 0.0151)
P (0.7554, 0.3966, 0.9849)
P (0.8547, 0.7357, 0.4924)
H (0.0260, 0.8554, 0.7373)
H (0.0644, 0.0682, 0.7386)
H (0.2391, 0.2110, 0.0655)
H (0.2520, 0.7300, 0.3983)
H (0.2637, 0.0972, 0.5084)
H (0.3784, 0.6622, 0.7343)
H (0.4044, 0.3667, 0.2482)
H (0.4083, 0.6991, 0.0288)
H (0.4172, 0.9861, 0.1545)
H (0.4744, 0.8266, 0.2800)
H (0.5256, 0.1734, 0.7200)
H (0.5828, 0.0139, 0.8455)
H (0.5917, 0.3009, 0.9712)
H (0.5956, 0.6333, 0.7518)
H (0.6216, 0.3378, 0.2657)
H (0.7363, 0.9028, 0.4916)
H (0.7480, 0.2700, 0.6017)
H (0.7609, 0.7890, 0.9345)
H (0.9356, 0.9318, 0.2614)
H (0.9740, 0.1446, 0.2627)
O (0.0095, 0.7573, 0.3749)
O (0.0673, 0.2932, 0.3542)
O (0.0711, 0.7270, 0.0709)
O (0.0958, 0.9485, 0.7928)
O (0.2310, 0.5508, 0.8553)
O (0.2468, 0.0721, 0.0539)
O (0.2467, 0.4310, 0.5616)
O (0.2535, 0.4342, 0.1205)
O (0.3895, 0.7046, 0.3824)
O (0.4718, 0.0750, 0.7888)
O (0.4965, 0.6828, 0.6810)
O (0.5035, 0.3172, 0.3190)
O (0.5282, 0.9250, 0.2112)
O (0.6105, 0.2954, 0.6176)
O (0.7465, 0.5658, 0.8795)
O (0.7533, 0.5690, 0.4384)
O (0.7532, 0.9279, 0.9461)
O (0.7690, 0.4492, 0.1447)
O (0.9042, 0.0515, 0.2072)
O (0.9289, 0.2730, 0.9291)
O (0.9327, 0.7068, 0.6458)
O (0.9905, 0.2427, 0.6251)

Largest 10 diffraction maxima, in order of falling intensity, 5 to 70 degrees two-theta:
hkl 0 1 0, 2θ 12.44, rel. 100; hkl 2 1 1, 2θ 28.84, rel. 30; hkl 1 0 -1, 2θ 15.76, rel. 27; hkl 1 -2 1, 2θ 30.60, rel. 25; hkl 1 -1 2, 2θ 26.80, rel. 21; hkl -1 1 2, 2θ 26.63, rel. 19; hkl 0 1 1, 2θ 15.62, rel. 15; hkl 1 1 2, 2θ 25.61, rel. 13; hkl 2 0 0, 2θ 25.13, rel. 11; hkl 1 2 2, 2θ 33.24, rel. 11



2.
Zn2P2H12O11: simulated X-ray diffraction stick pattern (Cu Kα), based on a GGA-PBE-relaxed structure.
Neutral-atom scattering factors, no anomalous dispersion.

Crystal structure
a = 7.2979 Å, b = 7.3837 Å, c = 9.2951 Å
α = 91.79°, β = 90.17°, γ = 93.27°
Element x y z (fractional)
Zn (0.0000, 0.0000, 0.0000)
Zn (0.0043, 0.5094, 0.2504)
Zn (0.5000, 0.5000, 0.5000)
Zn (0.9957, 0.4906, 0.7496)
P (0.1304, 0.7330, 0.4908)
P (0.2366, 0.3944, 0.9845)
P (0.7634, 0.6056, 0.0155)
P (0.8696, 0.2670, 0.5092)
H (0.0453, 0.1250, 0.2717)
H (0.0453, 0.9113, 0.2596)
H (0.2271, 0.9040, 0.4911)
H (0.2456, 0.2483, 0.5926)
H (0.2492, 0.7648, 0.9393)
H (0.3517, 0.9488, 0.8922)
H (0.3777, 0.9581, 0.1793)
H (0.3890, 0.4016, 0.2447)
H (0.3953, 0.6019, 0.7636)
H (0.4120, 0.3242, 0.9722)
H (0.4348, 0.1707, 0.6458)
H (0.4764, 0.1111, 0.2776)
H (0.5236, 0.8889, 0.7224)
H (0.5652, 0.8293, 0.3542)
H (0.5880, 0.6758, 0.0278)
H (0.6047, 0.3981, 0.2364)
H (0.6110, 0.5984, 0.7553)
H (0.6223, 0.0419, 0.8207)
H (0.6483, 0.0512, 0.1078)
H (0.7508, 0.2352, 0.0607)
H (0.7544, 0.7517, 0.4074)
H (0.7729, 0.0960, 0.5089)
H (0.9547, 0.0887, 0.7404)
H (0.9547, 0.8750, 0.7283)
O (0.0189, 0.2625, 0.6304)
O (0.0459, 0.7164, 0.6413)
O (0.0861, 0.2516, 0.9467)
O (0.0958, 0.0230, 0.2133)
O (0.2268, 0.5445, 0.8712)
O (0.2296, 0.4755, 0.1393)
O (0.2513, 0.5800, 0.4480)
O (0.2695, 0.8951, 0.9676)
O (0.3794, 0.2489, 0.5742)
O (0.4914, 0.9872, 0.2351)
O (0.4974, 0.3551, 0.2956)
O (0.5026, 0.6449, 0.7044)
O (0.5086, 0.0128, 0.7649)
O (0.6206, 0.7511, 0.4258)
O (0.7305, 0.1049, 0.0324)
O (0.7487, 0.4200, 0.5520)
O (0.7704, 0.5245, 0.8607)
O (0.7732, 0.4555, 0.1288)
O (0.9042, 0.9770, 0.7867)
O (0.9139, 0.7484, 0.0533)
O (0.9541, 0.2836, 0.3587)
O (0.9811, 0.7375, 0.3696)

Largest 10 diffraction maxima, in order of falling intensity, 5 to 70 degrees two-theta:
hkl 0 1 0, 2θ 12.01, rel. 100; hkl 1 0 0, 2θ 12.15, rel. 93; hkl -1 1 2, 2θ 25.72, rel. 64; hkl 1 2 -1, 2θ 29.13, rel. 45; hkl -2 1 1, 2θ 28.47, rel. 35; hkl 1 0 1, 2θ 15.46, rel. 32; hkl 2 -1 1, 2θ 28.29, rel. 27; hkl 0 2 0, 2θ 24.16, rel. 25; hkl 2 0 0, 2θ 24.43, rel. 24; hkl 0 2 1, 2θ 26.30, rel. 24